Diffraction record for Mn3Ni2. The X-ray powder pattern is simulated, not measured: it uses DFT lattice parameters and positions (PBE) and Cu Kα (weighted mean of Kα1 and Kα2).
Neutral-atom scattering factors, no anomalous dispersion.

Atomic structure:
```
data_Mn3Ni2
_chemical_formula_sum 'Mn24 Ni16'
_space_group_name_H-M_alt 'F d d 2'
_space_group_IT_number 43
_space_group_name_Hall 'F 2 -2d'
_cell_length_a 8.774
_cell_length_b 12.370
_cell_length_c 4.469
_cell_angle_alpha 90.00
_cell_angle_beta 90.00
_cell_angle_gamma 90.00
loop_
_atom_site_label
_atom_site_fract_x
_atom_site_fract_y
_atom_site_fract_z
Mn1 0.000 0.000 0.000
Mn2 0.043 0.105 0.469
Ni1 0.029 0.203 0.941
```

Most intense lines, 15° ≤ 2θ ≤ 90°, by intensity:
(1 5 1), d = 2.102 Å, I 100.0
(2 0 2), d = 1.991 Å, I 54.3
(3 5 1), d = 1.740 Å, I 28.9
(4 0 0), d = 2.193 Å, I 22.8
(4 2 0), d = 2.067 Å, I 18.4
(1 5 3), d = 1.263 Å, I 11.3
(6 2 2), d = 1.200 Å, I 9.7
(2 10 0), d = 1.191 Å, I 9.1



Diffraction record for Y2Ho3Ge4. The X-ray powder pattern is simulated, not measured: it uses DFT lattice parameters and positions (PBE) and Cu Kα (weighted mean of Kα1 and Kα2).
Neutral-atom scattering factors, no anomalous dispersion.

Atomic structure:
```
data_Y2Ho3Ge4
_chemical_formula_sum 'Y4 Ho6 Ge8'
_space_group_name_H-M_alt 'P 1 21/c 1'
_space_group_IT_number 14
_cell_length_a 7.942
_cell_length_b 7.770
_cell_length_c 7.587
_cell_angle_alpha 90.00
_cell_angle_beta 112.42
_cell_angle_gamma 90.00
loop_
_space_group_symop_operation_xyz
'x,y,z'
'-x,-y,-z'
'-x,y+1/2,-z+1/2'
'x,-y+1/2,z+1/2'
loop_
_atom_site_label
_atom_site_fract_x
_atom_site_fract_y
_atom_site_fract_z
Y1 0.200 0.179 0.060
Ho1 0.238 0.663 0.227
Ho2 0.500 0.000 0.500
Ge1 0.088 0.535 0.823
Ge2 0.491 0.133 0.869
```

Most intense lines, 15° ≤ 2θ ≤ 90°, by intensity:
(1 1 -3), d = 2.401 Å, I 100.0
(2 2 -1), d = 2.761 Å, I 81.4
(1 1 2), d = 2.617 Å, I 68.5
(2 2 0), d = 2.667 Å, I 65.7
(1 2 -2), d = 2.707 Å, I 43.9
(3 0 -2), d = 2.504 Å, I 43.0
(1 1 -2), d = 3.396 Å, I 36.3
(0 3 1), d = 2.430 Å, I 31.7



Diffraction record for Li2La3Al7. The X-ray powder pattern is simulated, not measured: it uses DFT lattice parameters and positions (PBE) and Cu Kα (weighted mean of Kα1 and Kα2).
Neutral-atom scattering factors, no anomalous dispersion.

Atomic structure:
```
data_Li2La3Al7
_chemical_formula_sum 'Li6 La9 Al21'
_space_group_name_H-M_alt 'R -3 m'
_space_group_IT_number 166
_space_group_name_Hall '-R 3 2"'
_cell_length_a 5.7114
_cell_length_b 5.7114
_cell_length_c 26.9074
_cell_angle_alpha 90.00
_cell_angle_beta 90.00
_cell_angle_gamma 120.00
loop_
_atom_site_label
_atom_site_fract_x
_atom_site_fract_y
_atom_site_fract_z
Li1 0.0000 0.0000 0.1647
La1 0.0000 0.0000 0.3595
La2 0.0000 0.0000 0.5000
Al1 0.0000 0.0000 0.0000
Al2 0.0062 0.5031 0.4187
```

Most intense lines, 15° ≤ 2θ ≤ 90°, by intensity:
(1 0 7), d = 3.035 Å, I 100.0
(1 0 1), d = 4.865 Å, I 93.4
(1 1 6), d = 2.409 Å, I 84.4
(1 1 0), d = 2.856 Å, I 73.3
(0 1 8), d = 2.781 Å, I 67.0
(0 2 1), d = 2.463 Å, I 55.2
(2 1 7), d = 1.681 Å, I 35.9
(2 0 14), d = 1.518 Å, I 34.2



Diffraction record for Zn2In2P5. The X-ray powder pattern is simulated, not measured: it uses DFT lattice parameters and positions (PBE) and Cu Kα (weighted mean of Kα1 and Kα2).
Neutral-atom scattering factors, no anomalous dispersion.

Atomic structure:
```
data_Zn2In2P5
_chemical_formula_sum 'Zn8 In8 P20'
_space_group_name_H-M_alt 'C m c 21'
_space_group_IT_number 36
_cell_length_a 4.082
_cell_length_b 7.071
_cell_length_c 28.982
_cell_angle_alpha 90.00
_cell_angle_beta 90.00
_cell_angle_gamma 90.00
loop_
_space_group_symop_operation_xyz
'x,y,z'
'-x,-y,z+1/2'
'-x,y,z'
'x,-y,z+1/2'
'x+1/2,y+1/2,z'
'-x+1/2,-y+1/2,z+1/2'
'-x+1/2,y+1/2,z'
'x+1/2,-y+1/2,z+1/2'
loop_
_atom_site_label
_atom_site_fract_x
_atom_site_fract_y
_atom_site_fract_z
Zn1 0.000 0.167 0.000
Zn2 0.000 0.167 0.218
In1 0.000 0.167 0.612
In2 0.000 0.500 0.332
P1 0.000 0.166 0.304
P2 0.000 0.166 0.920
P3 0.000 0.167 0.078
P4 0.000 0.167 0.442
P5 0.000 0.167 0.699
```

Most intense lines, 15° ≤ 2θ ≤ 90°, by intensity:
(2 0 0), d = 2.041 Å, I 100.0
(0 2 2), d = 3.435 Å, I 98.7
(1 1 3), d = 3.320 Å, I 75.5
(0 2 13), d = 1.886 Å, I 52.7
(1 1 5), d = 3.018 Å, I 51.8
(0 2 4), d = 3.177 Å, I 48.2
(1 1 6), d = 2.853 Å, I 43.9
(2 0 10), d = 1.669 Å, I 39.1



Diffraction record for RbLaCd17. The X-ray powder pattern is simulated, not measured: it uses DFT lattice parameters and positions (PBE) and Cu Kα (weighted mean of Kα1 and Kα2).
Neutral-atom scattering factors, no anomalous dispersion.

Atomic structure:
```
data_RbLaCd17
_chemical_formula_sum 'Rb3 La3 Cd51'
_space_group_name_H-M_alt 'R 3 m'
_space_group_IT_number 160
_space_group_name_Hall 'R 3 -2"'
_cell_length_a 10.3101
_cell_length_b 10.3101
_cell_length_c 15.1831
_cell_angle_alpha 90.00
_cell_angle_beta 90.00
_cell_angle_gamma 120.00
loop_
_atom_site_label
_atom_site_fract_x
_atom_site_fract_y
_atom_site_fract_z
Rb1 0.0000 0.0000 0.0000
La1 0.0000 0.0000 0.6707
Cd1 0.0000 0.0000 0.2433
Cd2 0.0000 0.0000 0.4426
Cd3 0.0020 0.2975 0.3378
Cd4 0.0042 0.5021 0.1906
Cd5 0.0102 0.5051 0.8358
Cd6 0.0264 0.5132 0.4868
```

Most intense lines, 15° ≤ 2θ ≤ 90°, by intensity:
(0 3 3), d = 2.566 Å, I 100.0
(2 2 3), d = 2.297 Å, I 74.1
(2 2 0), d = 2.578 Å, I 57.7
(0 0 6), d = 2.531 Å, I 34.6
(3 0 0), d = 2.976 Å, I 31.7
(2 0 5), d = 2.511 Å, I 29.9
(0 2 4), d = 2.892 Å, I 27.3
(6 0 0), d = 1.488 Å, I 26.9



Diffraction record for Li3Pa3RuS8. The X-ray powder pattern is simulated, not measured: it uses DFT lattice parameters and positions (PBE) and Cu Kα (weighted mean of Kα1 and Kα2).
Neutral-atom scattering factors, no anomalous dispersion.

Atomic structure:
```
data_Li3Pa3RuS8
_chemical_formula_sum 'Li9 Pa9 Ru3 S24'
_space_group_name_H-M_alt 'R -3 m'
_space_group_IT_number 166
_space_group_name_Hall '-R 3 2"'
_cell_length_a 7.3934
_cell_length_b 7.3934
_cell_length_c 19.4425
_cell_angle_alpha 90.00
_cell_angle_beta 90.00
_cell_angle_gamma 120.00
loop_
_atom_site_label
_atom_site_fract_x
_atom_site_fract_y
_atom_site_fract_z
Li1 0.0000 0.5000 0.0000
Pa1 0.0000 0.5000 0.5000
Ru1 0.0000 0.0000 0.5000
S1 0.0000 0.0000 0.2566
S2 0.0309 0.5155 0.2468
```

Most intense lines, 15° ≤ 2θ ≤ 90°, by intensity:
(0 2 4), d = 2.674 Å, I 100.0
(0 2 1), d = 3.159 Å, I 81.6
(2 0 5), d = 2.472 Å, I 41.9
(2 0 8), d = 1.936 Å, I 38.0
(2 0 2), d = 3.041 Å, I 35.6
(2 2 3), d = 1.777 Å, I 32.5
(2 2 0), d = 1.848 Å, I 32.4
(0 2 7), d = 2.098 Å, I 27.2



Diffraction record for YSi2TePd. The X-ray powder pattern is simulated, not measured: it uses DFT lattice parameters and positions (PBE) and Cu Kα (weighted mean of Kα1 and Kα2).
Neutral-atom scattering factors, no anomalous dispersion.

Atomic structure:
```
data_YSi2TePd
_chemical_formula_sum 'Y1 Si2 Te1 Pd1'
_space_group_name_H-M_alt 'P 4/m m m'
_space_group_IT_number 123
_space_group_name_Hall '-P 4 2'
_cell_length_a 5.065
_cell_length_b 5.065
_cell_length_c 5.627
_cell_angle_alpha 90.00
_cell_angle_beta 90.00
_cell_angle_gamma 90.00
loop_
_atom_site_label
_atom_site_fract_x
_atom_site_fract_y
_atom_site_fract_z
Y1 0.000 0.000 0.000
Si1 0.000 0.500 0.500
Te1 0.000 0.000 0.500
Pd1 0.500 0.500 0.000
```

Most intense lines, 15° ≤ 2θ ≤ 90°, by intensity:
(1 1 0), d = 3.582 Å, I 100.0
(2 0 0), d = 2.533 Å, I 81.5
(2 0 2), d = 1.882 Å, I 66.2
(1 0 1), d = 3.764 Å, I 64.5
(0 0 2), d = 2.813 Å, I 54.9
(1 1 2), d = 2.212 Å, I 53.8
(1 0 0), d = 5.065 Å, I 37.8
(1 1 1), d = 3.021 Å, I 33.1



Diffraction record for FeSeS. The X-ray powder pattern is simulated, not measured: it uses DFT lattice parameters and positions (PBE) and Cu Kα (weighted mean of Kα1 and Kα2).
Neutral-atom scattering factors, no anomalous dispersion.

Atomic structure:
```
data_FeSeS
_chemical_formula_sum 'Fe4 Se4 S4'
_space_group_name_H-M_alt 'P 1 21/c 1'
_space_group_IT_number 14
_cell_length_a 5.806
_cell_length_b 5.596
_cell_length_c 5.796
_cell_angle_alpha 90.00
_cell_angle_beta 105.95
_cell_angle_gamma 90.00
loop_
_space_group_symop_operation_xyz
'x,y,z'
'-x,-y,-z'
'-x,y+1/2,-z+1/2'
'x,-y+1/2,z+1/2'
loop_
_atom_site_label
_atom_site_fract_x
_atom_site_fract_y
_atom_site_fract_z
Fe1 0.237 0.011 0.244
Se1 0.353 0.629 0.146
S1 0.139 0.130 0.859
```

Most intense lines, 15° ≤ 2θ ≤ 90°, by intensity:
(1 1 -3), d = 1.825 Å, I 100.0
(1 2 -1), d = 2.395 Å, I 87.9
(2 1 0), d = 2.498 Å, I 71.9
(2 0 0), d = 2.793 Å, I 59.3
(0 1 2), d = 2.494 Å, I 52.7
(1 3 1), d = 1.645 Å, I 45.4
(0 0 2), d = 2.787 Å, I 43.3
(2 0 2), d = 1.747 Å, I 39.1